Entry 1:
# NdHo2Er3
Theoretical powder X-ray diffraction pattern, Cu Kα X-rays. Input: a PBE-relaxed structure.
Lines closer than 0.1° are merged.

Crystal structure
```
12
Lattice="8.677 -3.543 0.000 8.677 3.543 0.000 -0.022 0.000 6.124" Properties=species:S:1:pos:R:3 pbc="T T T"
Nd 8.660 2.650 4.593
Nd 8.671 -2.650 1.531
Ho 5.758 0.882 3.565
Ho 5.769 -0.882 0.503
Ho 11.562 0.882 5.621
Ho 11.573 -0.882 2.559
Er 2.898 0.888 5.607
Er 2.909 -0.888 2.545
Er 8.671 0.878 1.531
Er 8.660 -0.878 4.593
Er 14.422 0.888 3.579
Er 14.433 -0.888 0.517
```

Most intense lines, 10 to 90 degrees two-theta, by intensity:
30.94°, rel. 100
35.83°, rel. 34
61.36°, rel. 29
51.67°, rel. 24
35.96°, rel. 17
64.47°, rel. 12
51.57°, rel. 12
61.54°, rel. 11
84.38°, rel. 9
86.98°, rel. 8



Entry 2:
# La2SnBr3
Theoretical powder X-ray diffraction pattern, Cu Kα X-rays. Input: a PBE-relaxed structure.
Lines closer than 0.1° are merged.

Crystal structure
```
12
Lattice="9.806 -2.208 0.000 9.806 2.208 0.000 -5.419 0.000 11.361" Properties=species:S:1:pos:R:3 pbc="T T T"
La -0.682 0.000 2.187
La 3.336 0.000 1.457
La 10.858 0.000 9.903
La 14.876 0.000 9.173
Sn 3.036 0.000 11.005
Sn 11.158 0.000 0.356
Br -1.095 0.000 9.733
Br 1.835 0.000 3.898
Br 6.079 0.000 7.460
Br 8.115 0.000 3.901
Br 12.359 0.000 7.462
Br 15.289 0.000 1.628
```

Most intense lines, 10 to 90 degrees two-theta, by intensity:
29.81°, rel. 100
32.41°, rel. 82
40.87°, rel. 64
30.63°, rel. 64
33.17°, rel. 56
25.19°, rel. 48
45.87°, rel. 47
24.69°, rel. 44
33.09°, rel. 41
28.58°, rel. 36



Please write out number 1 again, unchanged.
# NdHo2Er3
Theoretical powder X-ray diffraction pattern, Cu Kα X-rays. Input: a PBE-relaxed structure.
Lines closer than 0.1° are merged.

Crystal structure
```
12
Lattice="8.677 -3.543 0.000 8.677 3.543 0.000 -0.022 0.000 6.124" Properties=species:S:1:pos:R:3 pbc="T T T"
Nd 8.660 2.650 4.593
Nd 8.671 -2.650 1.531
Ho 5.758 0.882 3.565
Ho 5.769 -0.882 0.503
Ho 11.562 0.882 5.621
Ho 11.573 -0.882 2.559
Er 2.898 0.888 5.607
Er 2.909 -0.888 2.545
Er 8.671 0.878 1.531
Er 8.660 -0.878 4.593
Er 14.422 0.888 3.579
Er 14.433 -0.888 0.517
```

Most intense lines, 10 to 90 degrees two-theta, by intensity:
30.94°, rel. 100
35.83°, rel. 34
61.36°, rel. 29
51.67°, rel. 24
35.96°, rel. 17
64.47°, rel. 12
51.57°, rel. 12
61.54°, rel. 11
84.38°, rel. 9
86.98°, rel. 8